Diffraction record for Tm2Mg. The powder diffraction line list is calculated, not measured: it uses a cell relaxed with GGA-PBE and Cu Ka.
Lines closer than 0.1° are merged.

Most intense lines, 2θ from 5° to 70°, by angle:
h k l  two_theta  I_rel
0 2 0  10.41  21.6
0 2 1  19.48  13.3
1 1 0  25.18  17.7
0 4 1  26.69  25.8
0 6 0  31.57  20.1
0 0 2  33.19  29.6
1 3 1  33.77  100.0
0 6 1  35.79  17.6
0 6 2  46.46  13.8
1 3 3  59.67  19.6

Structure:
abc: 3.616 17.001 5.399
angles: 90.00 90.00 90.00
Space group Cmcm (No. 63)
One atom of each set of equivalent atoms:
1 Tm 0.000 0.095 0.250 x4
2 Tm 0.000 0.227 0.750 x4
3 Mg 0.000 0.435 0.250 x4